Entry 1:
The following is a theoretical XRD peak list of Li2AgHPb. It was derived from the GGA-PBE geometry in Alexandria, using copper Kα.

Largest 10 diffraction maxima, in order of rising 2θ, 2θ from 10° to 90°:
- 22.74°, intensity 74
- 28.46°, intensity 87
- 36.74°, intensity 100
- 40.69°, intensity 38
- 47.12°, intensity 44
- 55.38°, intensity 27
- 63.44°, intensity 20
- 63.98°, intensity 17
- 71.47°, intensity 29
- 85.15°, intensity 17

Crystal structure
a b c (Å): 4.435 4.435 3.910
angles (deg): 90.00 90.00 90.00
Positions (direct):
Li (0.000, 0.500, 0.000)
Li (0.500, 0.000, 0.000)
Ag (0.000, 0.000, 0.500)
H (0.000, 0.000, 0.000)
Pb (0.500, 0.500, 0.500)



Entry 2:
The following is a theoretical XRD peak list of Dy4Th3S8. It was derived from the GGA-PBE geometry in Alexandria, using copper Kα.

Largest 10 diffraction maxima, in order of rising 2θ, 2θ from 10° to 90°:
- 15.82°, intensity 13
- 27.56°, intensity 83
- 31.93°, intensity 100
- 45.77°, intensity 61
- 54.25°, intensity 28
- 54.32°, intensity 14
- 56.84°, intensity 13
- 56.96°, intensity 13
- 75.89°, intensity 16
- 84.80°, intensity 13

Crystal structure
a b c (Å): 7.924 7.924 7.916
angles (deg): 119.92 119.92 90.03
Positions (direct):
Dy (0.000, 0.000, 0.000)
Dy (0.000, 0.000, 0.500)
Dy (0.000, 0.500, 0.000)
Dy (0.500, 0.000, 0.000)
Th (0.000, 0.500, 0.500)
Th (0.500, 0.000, 0.500)
Th (0.500, 0.500, 0.000)
S (0.245, 0.245, 0.997)
S (0.245, 0.755, 0.000)
S (0.246, 0.246, 0.491)
S (0.249, 0.751, 0.500)
S (0.751, 0.249, 0.500)
S (0.754, 0.754, 0.509)
S (0.755, 0.245, 0.000)
S (0.755, 0.755, 0.003)



Entry 3:
The following is a theoretical XRD peak list of CaReTc4. It was derived from the GGA-PBE geometry in Alexandria, using copper Kα.

Largest 10 diffraction maxima, in order of rising 2θ, 2θ from 10° to 90°:
- 20.93°, intensity 15
- 24.21°, intensity 14
- 34.50°, intensity 29
- 40.70°, intensity 100
- 42.60°, intensity 38
- 61.82°, intensity 11
- 66.03°, intensity 31
- 72.76°, intensity 24
- 86.88°, intensity 11
- 88.14°, intensity 14

Crystal structure
a b c (Å): 5.199 5.199 5.199
angles (deg): 60.00 60.00 60.00
Positions (direct):
Ca (0.000, 0.000, 0.000)
Re (0.750, 0.750, 0.750)
Tc (0.375, 0.375, 0.375)
Tc (0.375, 0.375, 0.875)
Tc (0.375, 0.875, 0.375)
Tc (0.875, 0.375, 0.375)



Entry 4:
The following is a theoretical XRD peak list of Ac4In2Ir. It was derived from the GGA-PBE geometry in Alexandria, using copper Kα.

Largest 10 diffraction maxima, in order of rising 2θ, 2θ from 10° to 90°:
- 26.71°, intensity 53
- 27.69°, intensity 100
- 28.43°, intensity 32
- 30.55°, intensity 64
- 33.27°, intensity 30
- 33.63°, intensity 33
- 34.67°, intensity 35
- 37.31°, intensity 45
- 45.49°, intensity 29
- 46.07°, intensity 26

Crystal structure
a b c (Å): 6.948 6.948 9.434
angles (deg): 119.86 119.86 40.60
Positions (direct):
Ac (0.080, 0.080, 0.354)
Ac (0.334, 0.334, 0.934)
Ac (0.666, 0.666, 0.066)
Ac (0.920, 0.920, 0.646)
In (0.368, 0.368, 0.344)
In (0.632, 0.632, 0.656)
Ir (0.000, 0.000, 0.000)



Entry 5:
The following is a theoretical XRD peak list of Rb2AsRhI6. It was derived from the GGA-PBE geometry in Alexandria, using copper Kα.

Largest 10 diffraction maxima, in order of rising 2θ, 2θ from 10° to 90°:
- 15.50°, intensity 36
- 27.01°, intensity 100
- 31.19°, intensity 38
- 31.33°, intensity 76
- 44.80°, intensity 55
- 44.90°, intensity 27
- 53.18°, intensity 29
- 55.68°, intensity 28
- 74.25°, intensity 24
- 82.75°, intensity 18

Crystal structure
a b c (Å): 8.093 8.093 8.093
angles (deg): 120.14 120.14 89.75
Positions (direct):
Rb (0.250, 0.750, 0.500)
Rb (0.750, 0.250, 0.500)
As (0.000, 0.000, 0.000)
Rh (0.500, 0.500, 0.000)
I (0.258, 0.258, 0.000)
I (0.258, 0.258, 0.516)
I (0.258, 0.742, 0.000)
I (0.742, 0.258, 0.000)
I (0.742, 0.742, 0.000)
I (0.742, 0.742, 0.484)



Entry 6:
The following is a theoretical XRD peak list of Er5Te2Rh. It was derived from the GGA-PBE geometry in Alexandria, using copper Kα.

Largest 10 diffraction maxima, in order of rising 2θ, 2θ from 10° to 90°:
- 28.12°, intensity 81
- 29.40°, intensity 70
- 31.93°, intensity 87
- 32.07°, intensity 66
- 33.82°, intensity 44
- 34.12°, intensity 100
- 35.21°, intensity 43
- 42.55°, intensity 30
- 44.70°, intensity 46
- 47.27°, intensity 38

Crystal structure
a b c (Å): 8.120 13.104 4.055
angles (deg): 90.00 90.00 90.00
Positions (direct):
Er (0.000, 0.000, 0.000)
Er (0.164, 0.317, 0.000)
Er (0.169, 0.585, 0.500)
Er (0.331, 0.085, 0.500)
Er (0.336, 0.817, 0.000)
Er (0.500, 0.500, 0.000)
Er (0.664, 0.183, 0.000)
Er (0.669, 0.915, 0.500)
Er (0.831, 0.415, 0.500)
Er (0.836, 0.683, 0.000)
Te (0.038, 0.821, 0.500)
Te (0.462, 0.321, 0.500)
Te (0.538, 0.679, 0.500)
Te (0.962, 0.179, 0.500)
Rh (0.000, 0.500, 0.000)
Rh (0.500, 0.000, 0.000)



Entry 7:
The following is a theoretical XRD peak list of Pr3Ho2Er6. It was derived from the GGA-PBE geometry in Alexandria, using copper Kα.

Largest 10 diffraction maxima, in order of rising 2θ, 2θ from 10° to 90°:
- 30.76°, intensity 21
- 31.07°, intensity 39
- 31.35°, intensity 42
- 32.16°, intensity 100
- 34.49°, intensity 12
- 44.50°, intensity 15
- 53.44°, intensity 12
- 56.31°, intensity 22
- 62.14°, intensity 17
- 63.28°, intensity 15

Crystal structure
a b c (Å): 6.693 6.693 10.402
angles (deg): 90.03 90.03 129.53
Positions (direct):
Pr (0.000, 0.000, 0.000)
Pr (0.294, 0.706, 0.000)
Pr (0.706, 0.294, 0.000)
Ho (0.368, 0.632, 0.500)
Ho (0.632, 0.368, 0.500)
Er (0.149, 0.849, 0.305)
Er (0.151, 0.851, 0.695)
Er (0.499, 0.499, 0.214)
Er (0.501, 0.501, 0.786)
Er (0.849, 0.149, 0.305)
Er (0.851, 0.151, 0.695)



Entry 8:
The following is a theoretical XRD peak list of La2PrDy7. It was derived from the GGA-PBE geometry in Alexandria, using copper Kα.

Largest 10 diffraction maxima, in order of rising 2θ, 2θ from 10° to 90°:
- 30.27°, intensity 34
- 30.43°, intensity 100
- 35.20°, intensity 45
- 35.32°, intensity 22
- 50.63°, intensity 16
- 50.80°, intensity 24
- 60.03°, intensity 10
- 60.21°, intensity 19
- 60.34°, intensity 19
- 82.70°, intensity 10

Crystal structure
a b c (Å): 6.225 7.207 8.049
angles (deg): 77.41 75.03 73.50
Positions (direct):
La (0.200, 0.300, 0.101)
La (0.800, 0.700, 0.899)
Pr (0.000, 0.000, 0.500)
Dy (0.000, 0.500, 0.500)
Dy (0.199, 0.800, 0.102)
Dy (0.399, 0.102, 0.697)
Dy (0.400, 0.600, 0.698)
Dy (0.600, 0.400, 0.302)
Dy (0.601, 0.898, 0.303)
Dy (0.801, 0.200, 0.898)



Entry 9:
The following is a theoretical XRD peak list of MgGa5Ag4. It was derived from the GGA-PBE geometry in Alexandria, using copper Kα.

Largest 10 diffraction maxima, in order of rising 2θ, 2θ from 10° to 90°:
- 16.55°, intensity 50
- 30.58°, intensity 29
- 37.78°, intensity 100
- 37.96°, intensity 97
- 38.55°, intensity 95
- 40.29°, intensity 82
- 42.94°, intensity 69
- 45.23°, intensity 58
- 46.59°, intensity 68
- 66.28°, intensity 35

Crystal structure
a b c (Å): 5.999 6.127 6.269
angles (deg): 74.37 64.27 76.65
Positions (direct):
Mg (0.000, 0.000, 0.000)
Ga (0.155, 0.651, 0.332)
Ga (0.315, 0.349, 0.673)
Ga (0.500, 0.000, 0.000)
Ga (0.685, 0.651, 0.327)
Ga (0.845, 0.349, 0.668)
Ag (0.247, 0.995, 0.486)
Ag (0.413, 0.663, 0.834)
Ag (0.587, 0.337, 0.166)
Ag (0.753, 0.005, 0.514)



Entry 10:
The following is a theoretical XRD peak list of Zr4Bi. It was derived from the GGA-PBE geometry in Alexandria, using copper Kα.

Largest 10 diffraction maxima, in order of rising 2θ, 2θ from 10° to 90°:
- 24.30°, intensity 100
- 32.83°, intensity 91
- 34.00°, intensity 49
- 37.07°, intensity 42
- 38.25°, intensity 82
- 39.83°, intensity 37
- 44.12°, intensity 37
- 50.71°, intensity 18
- 63.44°, intensity 34
- 64.47°, intensity 20

Crystal structure
a b c (Å): 7.921 7.921 7.921
angles (deg): 133.65 133.65 67.64
Positions (direct):
Zr (0.158, 0.839, 0.901)
Zr (0.244, 0.342, 0.182)
Zr (0.339, 0.938, 0.682)
Zr (0.438, 0.256, 0.599)
Zr (0.562, 0.744, 0.401)
Zr (0.661, 0.062, 0.318)
Zr (0.756, 0.658, 0.818)
Zr (0.842, 0.161, 0.099)
Bi (0.125, 0.375, 0.750)
Bi (0.875, 0.625, 0.250)



Entry 11:
The following is a theoretical XRD peak list of Y2Ge5Rh3. It was derived from the GGA-PBE geometry in Alexandria, using copper Kα.

Largest 10 diffraction maxima, in order of rising 2θ, 2θ from 10° to 90°:
- 17.69°, intensity 19
- 33.52°, intensity 36
- 34.38°, intensity 66
- 34.50°, intensity 56
- 34.77°, intensity 53
- 36.14°, intensity 29
- 40.49°, intensity 17
- 42.63°, intensity 100
- 45.84°, intensity 16
- 63.10°, intensity 18

Crystal structure
a b c (Å): 8.350 8.350 5.901
angles (deg): 108.82 108.82 94.06
Positions (direct):
Y (0.093, 0.370, 0.237)
Y (0.370, 0.093, 0.737)
Y (0.630, 0.907, 0.263)
Y (0.907, 0.630, 0.763)
Ge (0.013, 0.987, 0.750)
Ge (0.235, 0.426, 0.831)
Ge (0.277, 0.723, 0.750)
Ge (0.292, 0.708, 0.250)
Ge (0.426, 0.235, 0.331)
Ge (0.574, 0.765, 0.669)
Ge (0.708, 0.292, 0.750)
Ge (0.723, 0.277, 0.250)
Ge (0.765, 0.574, 0.169)
Ge (0.987, 0.013, 0.250)
Rh (0.045, 0.761, 0.375)
Rh (0.239, 0.955, 0.125)
Rh (0.498, 0.502, 0.250)
Rh (0.502, 0.498, 0.750)
Rh (0.761, 0.045, 0.875)
Rh (0.955, 0.239, 0.625)



Entry 12:
The following is a theoretical XRD peak list of PrCo9Ge4. It was derived from the GGA-PBE geometry in Alexandria, using copper Kα.

Largest 10 diffraction maxima, in order of rising 2θ, 2θ from 10° to 90°:
- 34.30°, intensity 35
- 35.54°, intensity 24
- 35.95°, intensity 33
- 38.00°, intensity 54
- 39.14°, intensity 100
- 46.17°, intensity 55
- 47.47°, intensity 45
- 48.11°, intensity 50
- 48.94°, intensity 28
- 55.98°, intensity 21

Crystal structure
a b c (Å): 8.137 8.137 8.137
angles (deg): 121.92 121.92 86.71
Positions (direct):
Pr (0.250, 0.250, 0.000)
Pr (0.750, 0.750, 0.000)
Co (0.000, 0.500, 0.500)
Co (0.054, 0.554, 0.254)
Co (0.066, 0.801, 0.867)
Co (0.199, 0.066, 0.265)
Co (0.200, 0.946, 0.500)
Co (0.300, 0.800, 0.746)
Co (0.301, 0.566, 0.867)
Co (0.434, 0.301, 0.735)
Co (0.446, 0.700, 0.500)
Co (0.500, 0.000, 0.500)
Co (0.554, 0.300, 0.500)
Co (0.566, 0.699, 0.265)
Co (0.699, 0.434, 0.133)
Co (0.700, 0.200, 0.254)
Co (0.800, 0.054, 0.500)
Co (0.801, 0.934, 0.735)
Co (0.934, 0.199, 0.133)
Co (0.946, 0.446, 0.746)
Ge (0.047, 0.202, 0.500)
Ge (0.202, 0.702, 0.154)
Ge (0.298, 0.453, 0.500)
Ge (0.453, 0.953, 0.154)
Ge (0.547, 0.047, 0.846)
Ge (0.702, 0.547, 0.500)
Ge (0.798, 0.298, 0.846)
Ge (0.953, 0.798, 0.500)



> Number 3 is which compound?

CaReTc4